[1]
Starting from a GGA-PBE-relaxed structure, the PXRD pattern of Li2MgAg3 was calculated for Cu Kα, 1.54184 Å.

```
Li2MgAg3
1.0
5.153 0.000 0.000
-2.576 4.462 0.000
0.000 0.000 4.498
Li Mg Ag
2 1 3
Cartesian
0.000 2.975 0.000 Li
2.576 1.487 0.000 Li
0.000 0.000 0.000 Mg
-0.877 1.520 2.249 Ag
1.755 0.000 2.249 Ag
1.699 2.943 2.249 Ag
```

Peak list (10 most intense, 15° ≤ 2θ ≤ 90°, sorted by position)
2θ/deg, d/Å, Rel. int.
19.74, 4.498, 75
34.82, 2.576, 61
40.09, 2.249, 19
40.34, 2.236, 100
54.13, 1.694, 33
62.43, 1.487, 14
66.17, 1.412, 15
73.01, 1.296, 16
76.83, 1.241, 15
77.00, 1.238, 14

***

[2]
Starting from a GGA-PBE-relaxed structure, the PXRD pattern of SmGeHO4 was calculated for Cu Kα, 1.54184 Å.

```
SmGeHO4
1.0
5.287 0.000 0.000
0.000 11.875 0.000
0.000 0.000 4.809
Sm Ge H O
4 4 4 16
Cartesian
0.000 1.425 1.202 Sm
0.000 10.450 3.607 Sm
2.643 4.513 3.607 Sm
2.643 7.362 1.202 Sm
0.000 4.659 1.202 Ge
0.000 7.215 3.607 Ge
2.643 1.278 3.607 Ge
2.643 10.597 1.202 Ge
0.000 3.561 3.607 H
0.000 8.314 1.202 H
2.643 2.376 1.202 H
2.643 9.499 3.607 H
0.594 3.542 2.522 O
0.594 8.333 0.118 O
1.265 0.502 2.887 O
1.265 11.373 0.482 O
1.378 5.436 0.482 O
1.378 6.439 2.887 O
2.049 2.396 0.118 O
2.049 9.479 2.522 O
3.237 2.396 2.287 O
3.237 9.479 4.691 O
3.909 5.436 1.922 O
3.909 6.439 4.327 O
4.021 0.502 4.327 O
4.021 11.373 1.922 O
4.693 3.542 4.691 O
4.693 8.333 2.287 O
```

Peak list (10 most intense, 15° ≤ 2θ ≤ 90°, sorted by position)
2θ/deg, d/Å, Rel. int.
26.15, 3.408, 92
30.10, 2.969, 27
33.89, 2.645, 100
37.40, 2.404, 15
45.97, 1.974, 25
48.73, 1.868, 22
51.37, 1.779, 18
60.46, 1.531, 18
60.66, 1.527, 16
60.70, 1.526, 19

***

[3]
Starting from a GGA-PBE-relaxed structure, the PXRD pattern of Tm3InS6 was calculated for Cu Kα, 1.54184 Å.

```
Tm3InS6
1.0
13.348 0.000 0.000
0.000 16.396 0.000
0.000 0.000 3.802
Tm In S
12 4 24
Cartesian
0.504 3.695 0.957 Tm
2.536 10.583 0.953 Tm
3.341 6.422 0.934 Tm
3.333 14.620 2.868 Tm
4.138 2.385 2.849 Tm
6.170 11.893 2.845 Tm
7.179 4.503 2.845 Tm
9.211 14.011 2.849 Tm
10.015 1.776 2.868 Tm
10.007 9.974 0.934 Tm
10.812 5.813 0.953 Tm
12.844 12.701 0.957 Tm
0.000 0.000 2.905 In
0.000 8.198 2.848 In
6.674 0.000 0.954 In
6.674 8.198 0.897 In
0.269 6.457 0.947 S
1.304 14.925 0.971 S
1.480 1.972 2.862 S
1.523 12.222 2.857 S
2.425 4.700 2.839 S
2.602 8.540 2.849 S
4.072 0.342 0.953 S
4.249 12.898 0.963 S
5.151 4.024 0.945 S
5.194 10.170 0.941 S
5.370 6.727 2.831 S
6.406 14.655 2.855 S
6.943 1.741 2.855 S
7.978 9.669 2.831 S
8.155 6.226 0.941 S
8.197 12.371 0.945 S
9.099 3.498 0.963 S
9.276 16.054 0.953 S
10.746 7.856 2.849 S
10.924 11.695 2.839 S
11.826 4.173 2.857 S
11.868 14.424 2.862 S
12.044 1.471 0.971 S
13.080 9.938 0.947 S
```

Peak list (10 most intense, 15° ≤ 2θ ≤ 90°, sorted by position)
2θ/deg, d/Å, Rel. int.
25.50, 3.493, 100
26.70, 3.339, 86
27.54, 3.239, 29
31.65, 2.827, 40
32.85, 2.727, 33
35.12, 2.555, 45
36.19, 2.482, 43
41.70, 2.166, 33
45.51, 1.993, 33
47.85, 1.901, 33

***

[4]
Starting from a GGA-PBE-relaxed structure, the PXRD pattern of SmAgB4 was calculated for Cu Kα, 1.54184 Å.

```
SmAgB4
1.0
-1.577 2.728 4.103
1.577 -2.728 4.103
1.577 2.728 -4.103
Sm Ag B
1 1 4
Cartesian
0.000 0.000 0.000 Sm
0.000 0.000 4.103 Ag
1.577 -0.984 1.986 B
1.577 0.984 1.986 B
0.000 1.745 2.117 B
0.000 3.712 2.117 B
```

Peak list (10 most intense, 15° ≤ 2θ ≤ 90°, sorted by position)
2θ/deg, d/Å, Rel. int.
21.66, 4.103, 52
32.81, 2.730, 66
39.66, 2.273, 100
44.15, 2.051, 13
56.08, 1.640, 29
58.57, 1.576, 17
63.20, 1.471, 18
73.06, 1.295, 16
76.17, 1.250, 15
78.18, 1.223, 13

***

[5]
Starting from a GGA-PBE-relaxed structure, the PXRD pattern of GePt9 was calculated for Cu Kα, 1.54184 Å.

```
GePt9
1.0
2.823 0.000 0.000
0.000 2.823 0.000
0.000 0.000 52.350
Ge Pt
2 18
Cartesian
0.706 0.706 7.535 Ge
2.117 2.117 44.814 Ge
0.706 0.706 11.404 Pt
0.706 0.706 15.372 Pt
0.706 0.706 19.296 Pt
0.706 0.706 23.238 Pt
0.706 0.706 27.154 Pt
0.706 0.706 31.076 Pt
0.706 0.706 35.023 Pt
0.706 0.706 38.954 Pt
0.706 0.706 43.022 Pt
2.117 2.117 9.327 Pt
2.117 2.117 13.395 Pt
2.117 2.117 17.327 Pt
2.117 2.117 21.273 Pt
2.117 2.117 25.196 Pt
2.117 2.117 29.112 Pt
2.117 2.117 33.053 Pt
2.117 2.117 36.978 Pt
2.117 2.117 40.946 Pt
```

Peak list (10 most intense, 15° ≤ 2θ ≤ 90°, sorted by position)
2θ/deg, d/Å, Rel. int.
38.96, 2.312, 100
40.02, 2.253, 43
45.44, 1.996, 47
46.86, 1.939, 12
65.89, 1.418, 14
66.21, 1.412, 16
67.32, 1.391, 17
79.57, 1.205, 26
80.25, 1.196, 12
80.97, 1.187, 14

***

[6]
Starting from a GGA-PBE-relaxed structure, the PXRD pattern of DyLu2Ag4Ge4 was calculated for Cu Kα, 1.54184 Å.

```
DyLu2Ag4Ge4
1.0
-2.135 3.581 7.198
2.135 -3.581 7.198
2.135 3.581 -7.198
Dy Lu Ag Ge
1 2 4 4
Cartesian
0.000 0.000 0.000 Dy
2.135 0.000 5.398 Lu
0.000 3.581 1.800 Lu
2.135 1.425 -2.438 Ag
2.135 1.425 2.438 Ag
0.000 2.156 4.761 Ag
0.000 2.156 9.636 Ag
0.000 0.000 3.142 Ge
2.135 2.277 0.000 Ge
0.000 1.304 7.198 Ge
0.000 0.000 11.255 Ge
```

Peak list (10 most intense, 15° ≤ 2θ ≤ 90°, sorted by position)
2θ/deg, d/Å, Rel. int.
33.24, 2.695, 100
33.54, 2.672, 29
34.93, 2.569, 94
37.48, 2.399, 18
37.74, 2.383, 35
42.31, 2.136, 76
55.06, 1.668, 14
61.38, 1.511, 23
61.95, 1.498, 11
74.72, 1.270, 18

***

[7]
Starting from a GGA-PBE-relaxed structure, the PXRD pattern of ZnTePO was calculated for Cu Kα, 1.54184 Å.

```
ZnTePO
1.0
3.478 0.000 0.000
0.000 7.133 0.000
0.000 0.000 6.793
Zn Te P O
2 2 2 2
Cartesian
0.000 1.374 0.000 Zn
0.000 5.759 3.397 Zn
1.739 2.375 3.438 Te
1.739 4.758 0.041 Te
0.000 0.937 2.456 P
0.000 6.197 5.852 P
1.739 2.002 6.325 O
1.739 5.132 2.929 O
```

Peak list (10 most intense, 15° ≤ 2θ ≤ 90°, sorted by position)
2θ/deg, d/Å, Rel. int.
24.97, 3.567, 39
26.24, 3.397, 78
28.26, 3.158, 53
28.55, 3.126, 37
31.50, 2.840, 100
36.53, 2.460, 25
46.25, 1.963, 37
47.56, 1.912, 23
49.71, 1.834, 47
53.96, 1.699, 42

***

[8]
Starting from a GGA-PBE-relaxed structure, the PXRD pattern of ZnP2 was calculated for Cu Kα, 1.54184 Å.

```
ZnP2
1.0
5.078 0.000 0.000
0.000 5.078 0.000
0.000 0.000 18.569
Zn P
8 16
Cartesian
0.685 1.760 5.576 Zn
0.779 3.224 10.218 Zn
1.760 0.685 12.993 Zn
1.855 4.299 17.635 Zn
3.224 0.779 8.351 Zn
3.318 4.394 3.708 Zn
4.299 1.855 0.934 Zn
4.394 3.318 14.861 Zn
0.042 0.101 2.338 P
0.101 0.042 16.231 P
0.924 3.551 1.104 P
1.012 1.615 15.031 P
1.527 4.154 8.181 P
1.615 1.012 3.538 P
2.438 2.581 6.980 P
2.497 2.640 2.305 P
2.581 2.438 11.589 P
2.640 2.497 16.264 P
3.463 4.066 12.823 P
3.551 0.924 17.465 P
4.066 3.463 5.746 P
4.154 1.527 10.388 P
4.977 5.036 6.947 P
5.036 4.977 11.622 P
```

Peak list (10 most intense, 15° ≤ 2θ ≤ 90°, sorted by position)
2θ/deg, d/Å, Rel. int.
25.26, 3.526, 21
26.01, 3.426, 98
26.62, 3.349, 100
31.50, 2.840, 32
40.91, 2.206, 41
46.59, 1.949, 21
49.80, 1.831, 51
51.87, 1.763, 20
57.38, 1.606, 21
57.99, 1.590, 26

***

[9]
Starting from a GGA-PBE-relaxed structure, the PXRD pattern of Ag3AuS2 was calculated for Cu Kα, 1.54184 Å.

```
Ag3AuS2
1.0
9.864 0.000 0.000
0.000 9.864 0.000
0.000 0.000 9.864
Ag Au S
24 8 16
Cartesian
0.005 2.474 3.786 Ag
0.008 2.471 8.543 Ag
1.145 9.859 7.406 Ag
1.320 4.940 2.461 Ag
2.461 1.320 4.940 Ag
2.458 6.077 4.937 Ag
2.474 3.786 0.005 Ag
2.471 8.543 0.008 Ag
3.611 4.924 7.393 Ag
3.786 0.005 2.474 Ag
4.924 7.393 3.611 Ag
4.927 7.390 8.718 Ag
4.940 2.461 1.320 Ag
4.937 2.458 6.077 Ag
6.077 4.937 2.458 Ag
6.252 9.856 7.403 Ag
7.393 3.611 4.924 Ag
7.390 8.718 4.927 Ag
7.406 1.145 9.859 Ag
7.403 6.252 9.856 Ag
8.543 0.008 2.471 Ag
8.718 4.927 7.390 Ag
9.859 7.406 1.145 Ag
9.856 7.403 6.252 Ag
1.221 8.642 3.711 Au
1.245 1.245 1.245 Au
3.687 8.619 6.176 Au
3.711 1.221 8.642 Au
6.153 6.153 6.153 Au
6.176 3.687 8.619 Au
8.619 6.176 3.687 Au
8.642 3.711 1.221 Au
0.125 4.807 5.056 S
0.147 5.079 9.716 S
2.319 7.250 7.545 S
2.341 2.590 7.273 S
2.590 7.273 2.341 S
2.613 2.613 2.613 S
4.784 4.784 4.784 S
4.807 5.056 0.125 S
5.056 0.125 4.807 S
5.079 9.716 0.147 S
7.250 7.545 2.319 S
7.273 2.341 2.590 S
7.522 7.522 7.522 S
7.545 2.319 7.250 S
9.716 0.147 5.079 S
9.739 9.739 9.739 S
```

Peak list (10 most intense, 15° ≤ 2θ ≤ 90°, sorted by position)
2θ/deg, d/Å, Rel. int.
28.62, 3.119, 21
31.42, 2.847, 18
34.01, 2.636, 100
38.73, 2.325, 13
40.92, 2.206, 32
45.03, 2.013, 14
50.69, 1.801, 31
64.02, 1.454, 14
65.57, 1.424, 12
75.96, 1.253, 20

***

[10]
Starting from a GGA-PBE-relaxed structure, the PXRD pattern of La2Sm2BCl5 was calculated for Cu Kα, 1.54184 Å.

```
La2Sm2BCl5
1.0
9.009 -1.991 0.000
9.009 1.991 0.000
-2.071 0.000 7.767
La Sm B Cl
2 2 1 5
Cartesian
2.555 0.000 0.739 La
13.393 0.000 7.027 La
8.533 0.000 1.708 Sm
7.415 0.000 6.058 Sm
0.000 0.000 0.000 B
-1.036 0.000 3.883 Cl
5.674 0.000 1.289 Cl
4.788 0.000 4.995 Cl
11.160 0.000 2.772 Cl
10.274 0.000 6.478 Cl
```

Peak list (10 most intense, 15° ≤ 2θ ≤ 90°, sorted by position)
2θ/deg, d/Å, Rel. int.
22.91, 3.882, 20
27.16, 3.284, 38
27.92, 3.196, 19
30.81, 2.902, 53
31.08, 2.878, 24
31.64, 2.828, 100
44.15, 2.051, 32
45.34, 2.000, 35
45.56, 1.991, 19
56.01, 1.642, 18

***

[11]
Starting from a GGA-PBE-relaxed structure, the PXRD pattern of NaRe2Cl6O2 was calculated for Cu Kα, 1.54184 Å.

```
NaRe2Cl6O2
1.0
-1.880 4.919 6.412
1.880 -4.919 6.412
1.880 4.919 -6.412
Na Re Cl O
1 2 6 2
Cartesian
0.000 0.000 0.000 Na
1.880 3.505 0.000 Re
0.000 1.415 6.412 Re
1.880 1.733 -1.593 Cl
1.880 1.733 1.593 Cl
0.000 0.000 4.489 Cl
0.000 0.000 8.336 Cl
0.000 3.187 4.819 Cl
0.000 3.187 8.006 Cl
0.000 3.510 0.000 O
0.000 6.329 0.000 O
```

Peak list (10 most intense, 15° ≤ 2θ ≤ 90°, sorted by position)
2θ/deg, d/Å, Rel. int.
22.68, 3.921, 23
24.68, 3.607, 100
25.36, 3.511, 25
28.08, 3.177, 20
28.99, 3.080, 27
34.47, 2.602, 62
39.06, 2.306, 26
44.86, 2.020, 23
46.39, 1.957, 39
60.79, 1.524, 23